Record 1
Theoretical powder diffraction line list of EuAlO3 for copper Kα, from the GGA-PBE geometry in the Materials Project.

Top 10 peaks for 15 to 90 degrees two-theta, low angle first:
23.59 deg, d = 3.772 Å, intensity 64; 33.58 deg, d = 2.668 Å, intensity 100; 33.70 deg, d = 2.659 Å, intensity 20; 41.41 deg, d = 2.180 Å, intensity 24; 41.52 deg, d = 2.175 Å, intensity 24; 48.30 deg, d = 1.884 Å, intensity 25; 54.37 deg, d = 1.688 Å, intensity 24; 60.03 deg, d = 1.541 Å, intensity 33; 60.20 deg, d = 1.537 Å, intensity 15; 70.59 deg, d = 1.334 Å, intensity 18

Structural model:
Cell: 5.3190 7.5559 5.3398 Å, 90.00 90.00 90.00°
Element x y z (fractional)
Eu1 0.0167 0.2500 0.0012
Eu2 0.4833 0.7500 0.5012
Eu3 0.5167 0.2500 0.4988
Eu4 0.9833 0.7500 0.9988
Al1 0.0000 0.0000 0.5000
Al2 0.0000 0.5000 0.5000
Al3 0.5000 0.0000 0.0000
Al4 0.5000 0.5000 0.0000
O1 0.0056 0.7500 0.4575
O2 0.2218 0.5217 0.7781
O3 0.2218 0.9783 0.7781
O4 0.2782 0.0217 0.2781
O5 0.2782 0.4783 0.2781
O6 0.4944 0.2500 0.9575
O7 0.5056 0.7500 0.0425
O8 0.7218 0.5217 0.7219
O9 0.7218 0.9783 0.7219
O10 0.7782 0.0217 0.2219
O11 0.7782 0.4783 0.2219
O12 0.9944 0.2500 0.5425

Record 2
Theoretical powder diffraction line list of Pu2InNi2 for copper Kα, from the GGA-PBE geometry in the Materials Project.

Top 10 peaks for 15 to 90 degrees two-theta, low angle first:
27.22 deg, d = 3.276 Å, intensity 37; 30.95 deg, d = 2.889 Å, intensity 13; 35.58 deg, d = 2.523 Å, intensity 32; 37.71 deg, d = 2.386 Å, intensity 100; 38.88 deg, d = 2.316 Å, intensity 41; 52.57 deg, d = 1.741 Å, intensity 12; 58.31 deg, d = 1.582 Å, intensity 19; 59.79 deg, d = 1.547 Å, intensity 17; 67.28 deg, d = 1.392 Å, intensity 16; 74.96 deg, d = 1.267 Å, intensity 15

Structural model:
Cell: 7.3246 7.3246 3.4815 Å, 90.00 90.00 90.00°
Element x y z (fractional)
Pu1 0.1653 0.3347 0.0000
Pu2 0.3347 0.8347 0.0000
Pu3 0.6653 0.1653 0.0000
Pu4 0.8347 0.6653 0.0000
In1 0.0000 0.0000 0.5000
In2 0.5000 0.5000 0.5000
Ni1 0.1326 0.6326 0.5000
Ni2 0.3674 0.1326 0.5000
Ni3 0.6326 0.8674 0.5000
Ni4 0.8674 0.3674 0.5000

Record 3
Theoretical powder diffraction line list of HfAlPt for copper Kα, from the GGA-PBE geometry in the Materials Project.

Top 10 peaks for 15 to 90 degrees two-theta, low angle first:
24.99 deg, d = 3.564 Å, intensity 62; 28.65 deg, d = 3.116 Å, intensity 28; 35.39 deg, d = 2.536 Å, intensity 87; 38.37 deg, d = 2.346 Å, intensity 100; 44.01 deg, d = 2.057 Å, intensity 56; 46.34 deg, d = 1.959 Å, intensity 42; 50.57 deg, d = 1.805 Å, intensity 22; 69.25 deg, d = 1.357 Å, intensity 29; 71.58 deg, d = 1.318 Å, intensity 33; 82.60 deg, d = 1.168 Å, intensity 19

Structural model:
Cell: 7.1271 7.1271 3.6099 Å, 90.00 90.00 120.00°
Element x y z (fractional)
Hf1 0.0000 0.4005 0.0000
Hf2 0.4005 0.0000 0.0000
Hf3 0.5995 0.5995 0.0000
Al1 0.0000 0.7418 0.5000
Al2 0.2582 0.2582 0.5000
Al3 0.7418 0.0000 0.5000
Pt1 0.0000 0.0000 0.0000
Pt2 0.3333 0.6667 0.5000
Pt3 0.6667 0.3333 0.5000

Record 4
Theoretical powder diffraction line list of CaB2O4 for copper Kα, from the GGA-PBE geometry in the Materials Project.

Top 10 peaks for 15 to 90 degrees two-theta, low angle first:
26.05 deg, d = 3.421 Å, intensity 52; 28.09 deg, d = 3.177 Å, intensity 18; 29.14 deg, d = 3.065 Å, intensity 100; 29.29 deg, d = 3.049 Å, intensity 29; 30.71 deg, d = 2.911 Å, intensity 19; 34.07 deg, d = 2.631 Å, intensity 41; 41.70 deg, d = 2.166 Å, intensity 33; 42.10 deg, d = 2.146 Å, intensity 25; 46.52 deg, d = 1.952 Å, intensity 54; 48.48 deg, d = 1.878 Å, intensity 52

Structural model:
Cell: 11.6453 4.3316 6.3540 Å, 90.00 90.00 90.00°
Element x y z (fractional)
Ca1 0.0000 0.2195 0.2500
Ca2 0.0000 0.7805 0.7500
Ca3 0.5000 0.2805 0.7500
Ca4 0.5000 0.7195 0.2500
B1 0.1923 0.3264 0.6246
B2 0.1923 0.6736 0.1246
B3 0.3077 0.1736 0.1246
B4 0.3077 0.8264 0.6246
B5 0.6923 0.1736 0.3754
B6 0.6923 0.8264 0.8754
B7 0.8077 0.3264 0.8754
B8 0.8077 0.6736 0.3754
O1 0.0860 0.2269 0.5872
O2 0.0860 0.7731 0.0872
O3 0.2082 0.3518 0.1489
O4 0.2082 0.6482 0.6489
O5 0.2918 0.1482 0.6489
O6 0.2918 0.8518 0.1489
O7 0.4140 0.2731 0.0872
O8 0.4140 0.7269 0.5872
O9 0.5860 0.2731 0.4128
O10 0.5860 0.7269 0.9128
O11 0.7082 0.1482 0.8511
O12 0.7082 0.8518 0.3511
O13 0.7918 0.3518 0.3511
O14 0.7918 0.6482 0.8511
O15 0.9140 0.2269 0.9128
O16 0.9140 0.7731 0.4128

Record 5
Theoretical powder diffraction line list of NaAc for copper Kα, from the GGA-PBE geometry in the Materials Project.

Top 10 peaks for 15 to 90 degrees two-theta, low angle first:
26.50 deg, d = 3.363 Å, intensity 54; 27.37 deg, d = 3.259 Å, intensity 23; 29.89 deg, d = 2.989 Å, intensity 100; 38.46 deg, d = 2.340 Å, intensity 41; 46.78 deg, d = 1.942 Å, intensity 16; 48.95 deg, d = 1.861 Å, intensity 19; 49.98 deg, d = 1.825 Å, intensity 25; 55.05 deg, d = 1.668 Å, intensity 20; 56.51 deg, d = 1.629 Å, intensity 20; 76.31 deg, d = 1.248 Å, intensity 22

Structural model:
Cell: 3.8836 3.8836 6.5179 Å, 90.00 90.00 120.00°
Element x y z (fractional)
Na1 0.0000 0.0000 0.0000
Ac1 0.3333 0.6667 0.5000

Record 6
Theoretical powder diffraction line list of Sr3Cr for copper Kα, from the GGA-PBE geometry in the Materials Project.

Top 10 peaks for 15 to 90 degrees two-theta, low angle first:
27.93 deg, d = 3.194 Å, intensity 100; 32.19 deg, d = 2.780 Å, intensity 34; 32.71 deg, d = 2.738 Å, intensity 16; 46.17 deg, d = 1.966 Å, intensity 12; 46.55 deg, d = 1.951 Å, intensity 24; 54.83 deg, d = 1.674 Å, intensity 29; 55.50 deg, d = 1.656 Å, intensity 14; 57.73 deg, d = 1.597 Å, intensity 12; 75.00 deg, d = 1.266 Å, intensity 11; 85.83 deg, d = 1.132 Å, intensity 8

Structural model:
Cell: 6.7414 6.7414 6.7414 Å, 131.28 131.28 71.36°
Element x y z (fractional)
Sr1 0.0000 0.0000 0.0000
Sr2 0.2500 0.7500 0.5000
Sr3 0.7500 0.2500 0.5000
Cr1 0.5000 0.5000 0.0000

Record 7
Theoretical powder diffraction line list of SeO5 for copper Kα, from the GGA-PBE geometry in the Materials Project.

Top 10 peaks for 15 to 90 degrees two-theta, low angle first:
17.59 deg, d = 5.043 Å, intensity 63; 20.69 deg, d = 4.293 Å, intensity 100; 21.96 deg, d = 4.047 Å, intensity 22; 25.51 deg, d = 3.492 Å, intensity 14; 25.78 deg, d = 3.455 Å, intensity 16; 28.28 deg, d = 3.156 Å, intensity 28; 30.35 deg, d = 2.946 Å, intensity 65; 36.00 deg, d = 2.495 Å, intensity 9; 39.70 deg, d = 2.271 Å, intensity 14; 44.26 deg, d = 2.046 Å, intensity 10

Structural model:
Cell: 8.0936 9.4875 10.0862 Å, 90.00 90.00 90.00°
Element x y z (fractional)
Se1 0.0358 0.1034 0.2334
Se2 0.0358 0.3966 0.7335
Se3 0.4642 0.6034 0.2334
Se4 0.4642 0.8966 0.7335
Se5 0.5358 0.1034 0.2666
Se6 0.5358 0.3966 0.7665
Se7 0.9642 0.6034 0.2666
Se8 0.9642 0.8966 0.7665
O1 0.0109 0.1411 0.3974
O2 0.0109 0.3589 0.8974
O3 0.1172 0.2434 0.1538
O4 0.1172 0.2566 0.6538
O5 0.1453 0.5650 0.3437
O6 0.1453 0.9350 0.8437
O7 0.1552 0.5427 0.7173
O8 0.1552 0.9573 0.2173
O9 0.1984 0.6994 0.0173
O10 0.1984 0.8006 0.5173
O11 0.3016 0.1994 0.0173
O12 0.3016 0.3006 0.5173
O13 0.3448 0.0427 0.7173
O14 0.3448 0.4573 0.2173
O15 0.3547 0.0650 0.3437
O16 0.3547 0.4350 0.8437
O17 0.3828 0.7434 0.1538
O18 0.3828 0.7566 0.6538
O19 0.4891 0.6411 0.3974
O20 0.4891 0.8589 0.8974
O21 0.5109 0.1411 0.1026
O22 0.5109 0.3589 0.6026
O23 0.6172 0.2434 0.3462
O24 0.6172 0.2566 0.8462
O25 0.6453 0.5650 0.1563
O26 0.6453 0.9350 0.6563
O27 0.6552 0.5427 0.7827
O28 0.6552 0.9573 0.2827
O29 0.6984 0.6994 0.4827
O30 0.6984 0.8006 0.9827
O31 0.8016 0.1994 0.4827
O32 0.8016 0.3006 0.9827
O33 0.8448 0.0427 0.7827
O34 0.8448 0.4573 0.2827
O35 0.8547 0.0650 0.1563
O36 0.8547 0.4350 0.6563
O37 0.8828 0.7434 0.3462
O38 0.8828 0.7566 0.8462
O39 0.9891 0.6411 0.1026
O40 0.9891 0.8589 0.6026

Record 8
Theoretical powder diffraction line list of Cu3AsF12 for copper Kα, from the GGA-PBE geometry in the Materials Project.

Top 10 peaks for 15 to 90 degrees two-theta, low angle first:
16.30 deg, d = 5.439 Å, intensity 1; 23.13 deg, d = 3.846 Å, intensity 100; 32.94 deg, d = 2.719 Å, intensity 25; 47.27 deg, d = 1.923 Å, intensity 26; 53.26 deg, d = 1.720 Å, intensity 35; 58.81 deg, d = 1.570 Å, intensity 10; 69.08 deg, d = 1.360 Å, intensity 14; 73.93 deg, d = 1.282 Å, intensity 15; 78.67 deg, d = 1.216 Å, intensity 5; 87.96 deg, d = 1.110 Å, intensity 4

Structural model:
Cell: 6.6613 6.6613 6.6613 Å, 109.47 109.47 109.47°
Element x y z (fractional)
Cu1 0.0000 0.5000 0.5000
Cu2 0.5000 0.0000 0.5000
Cu3 0.5000 0.5000 0.0000
As1 0.0000 0.0000 0.0000
F1 0.0000 0.2294 0.2294
F2 0.0000 0.7706 0.7706
F3 0.2294 0.0000 0.2294
F4 0.2294 0.2294 0.0000
F5 0.2500 0.5000 0.7500
F6 0.2500 0.7500 0.5000
F7 0.5000 0.2500 0.7500
F8 0.5000 0.7500 0.2500
F9 0.7500 0.2500 0.5000
F10 0.7500 0.5000 0.2500
F11 0.7706 0.0000 0.7706
F12 0.7706 0.7706 0.0000

Record 9
Theoretical powder diffraction line list of Sr2SmUO6 for copper Kα, from the GGA-PBE geometry in the Materials Project.

Top 10 peaks for 15 to 90 degrees two-theta, low angle first:
20.16 deg, d = 4.405 Å, intensity 24; 28.66 deg, d = 3.115 Å, intensity 100; 40.98 deg, d = 2.203 Å, intensity 30; 46.07 deg, d = 1.970 Å, intensity 11; 50.77 deg, d = 1.798 Å, intensity 42; 59.34 deg, d = 1.557 Å, intensity 19; 63.34 deg, d = 1.468 Å, intensity 5; 67.20 deg, d = 1.393 Å, intensity 19; 74.64 deg, d = 1.272 Å, intensity 6; 81.81 deg, d = 1.177 Å, intensity 23

Structural model:
Cell: 6.2297 6.2297 6.2297 Å, 60.00 60.00 60.00°
Element x y z (fractional)
Sr1 0.2500 0.2500 0.2500
Sr2 0.7500 0.7500 0.7500
Sm1 0.0000 0.0000 0.0000
U1 0.5000 0.5000 0.5000
O1 0.2577 0.2577 0.7423
O2 0.2577 0.7423 0.2577
O3 0.2577 0.7423 0.7423
O4 0.7423 0.2577 0.2577
O5 0.7423 0.2577 0.7423
O6 0.7423 0.7423 0.2577

Record 10
Theoretical powder diffraction line list of TiPd for copper Kα, from the GGA-PBE geometry in the Materials Project.

Top 7 peaks for 15 to 90 degrees two-theta, low angle first:
28.10 deg, d = 3.176 Å, intensity 20; 40.16 deg, d = 2.246 Å, intensity 100; 49.73 deg, d = 1.834 Å, intensity 6; 58.09 deg, d = 1.588 Å, intensity 16; 65.75 deg, d = 1.420 Å, intensity 8; 72.97 deg, d = 1.297 Å, intensity 32; 86.72 deg, d = 1.123 Å, intensity 10

Structural model:
Cell: 3.1758 3.1758 3.1758 Å, 90.00 90.00 90.00°
Element x y z (fractional)
Ti1 0.0000 0.0000 0.0000
Pd1 0.5000 0.5000 0.5000

Record 11
Theoretical powder diffraction line list of Tb2PbS4 for copper Kα, from the GGA-PBE geometry in the Materials Project.

Top 10 peaks for 15 to 90 degrees two-theta, low angle first:
25.56 deg, d = 3.485 Å, intensity 100; 33.14 deg, d = 2.703 Å, intensity 52; 33.28 deg, d = 2.692 Å, intensity 28; 39.47 deg, d = 2.283 Å, intensity 37; 47.58 deg, d = 1.911 Å, intensity 23; 47.75 deg, d = 1.905 Å, intensity 14; 50.12 deg, d = 1.820 Å, intensity 24; 54.87 deg, d = 1.673 Å, intensity 14; 67.56 deg, d = 1.386 Å, intensity 22; 83.02 deg, d = 1.163 Å, intensity 15

Structural model:
Cell: 7.3936 7.3936 7.3936 Å, 109.34 109.34 109.74°
Element x y z (fractional)
Tb1 0.0044 0.6250 0.8794
Tb2 0.3750 0.2544 0.3794
Tb3 0.7456 0.1250 0.1206
Tb4 0.8750 0.9956 0.6206
Pb1 0.2500 0.7500 0.5000
Pb2 0.5000 0.5000 0.0000
S1 0.1071 0.3620 0.5985
S2 0.1120 0.3571 0.0985
S3 0.2585 0.0134 0.9015
S4 0.4915 0.8929 0.2549
S5 0.6380 0.2366 0.7451
S6 0.6429 0.7415 0.7549
S7 0.7634 0.5085 0.4015
S8 0.9866 0.8880 0.2451